Diffraction record for AcCe2NdTe5. The XRD peak list is calculated, not measured: it uses a crystal structure in Alexandria, relaxed with GGA-PBE and Cu Kα.

The 8 most intense peaks (2θ from 15° to 90°), in order of falling intensity:
2theta, I/Imax, hkl
31.40, 100, 2 0 0
22.06, 89, 1 1 0
31.09, 67, 1 1 3
33.05, 56, 1 0 4
46.24, 44, 2 1 4
45.00, 37, 2 2 0
43.26, 30, 2 0 4
55.71, 26, 3 1 3

Cell: 5.6975 5.6975 12.3235 Å, 90.00 90.00 90.00°
Fractional coordinates of all 9 atoms:
Ac 0.0000 0.0000 0.0000
Ce 0.5000 0.5000 0.3497
Ce 0.5000 0.5000 0.6503
Nd 0.0000 0.0000 0.5000
Te 0.0000 0.0000 0.2523
Te 0.0000 0.0000 0.7477
Te 0.0000 0.5000 0.5000
Te 0.5000 0.0000 0.5000
Te 0.5000 0.5000 0.0000